# CeSi2Ir2
Theoretical powder XRD pattern, copper Kα. Input: a PBE-relaxed structure.

The 10 most intense peaks (2θ from 10° to 90°), sorted by position:
2θ/deg	I_rel
23.0	17.2
30.2	73.2
34.1	100.0
43.2	43.4
47.2	16.9
50.0	18.7
56.1	48.7
62.7	14.4
68.1	14.8
89.1	14.0

Crystal structure
Cell lengths 5.872, 5.872, 5.872 Å; angles 138.18, 138.18, 60.63 degrees
Positions (direct):
Ce  0.000  0.000  0.000
Si  0.250  0.750  0.500
Si  0.750  0.250  0.500
Ir  0.367  0.367  0.000
Ir  0.633  0.633  0.000